For Li2MnSi3O8, the PBE+U geometry in the Materials Project gives the computed X-ray diffraction stick pattern in this record (a wavelength of 1.5418 Å).
Intensities are scaled so that the largest is 1000.

Top 6 peaks for 2θ = 10–80°, by angle:
hkl 1 1 -1, 19.97°, d 4.447, rel. 432; hkl 0 2 0, 20.60°, d 4.312, rel. 270; hkl 1 0 1, 22.44°, d 3.962, rel. 1000; hkl 1 2 -1, 26.88°, d 3.316, rel. 929; hkl 1 1 -2, 29.47°, d 3.031, rel. 334; hkl 1 2 1, 30.64°, d 2.918, rel. 214

Crystal structure
```
28
Lattice="6.3620 0.0000 0.0000 0.0000 8.6236 0.0000 -1.7715 0.0000 6.4739" Properties=species:S:1:pos:R:3 pbc="T T T"
Li -0.3630 0.0000 3.2049
Li 1.8105 4.4380 1.4343
Li 2.7800 0.1262 5.0396
Li 4.9536 4.3118 3.2691
Mn 1.8303 2.9164 3.8754
Mn 2.7602 7.2282 2.5985
Si -1.2384 7.1471 6.4060
Si 0.0152 1.2329 5.8043
Si 0.8706 5.8006 4.7437
Si 3.7200 1.4889 1.7302
Si 4.5753 5.5447 0.6696
Si 5.8289 2.8353 0.0680
O -1.1533 0.0592 5.7931
O -0.6925 6.1385 5.2162
O -0.6710 2.6025 6.4286
O 1.2120 6.9391 1.3463
O 0.5345 1.3726 4.2883
O 0.7387 4.6473 3.5973
O 1.6173 7.1744 4.3193
O 3.0196 0.8227 0.3459
O 1.5709 5.1345 6.1280
O 2.9732 2.8626 2.1547
O 3.8518 0.3356 2.8766
O 4.0560 5.6844 2.1857
O 3.3786 2.6273 5.1276
O 5.2615 6.9143 0.0454
O 5.2830 1.8267 1.2577
O 5.7438 4.3710 0.6808
```